No. 1
Starting from the GGA-PBE geometry in Alexandria, the X-ray powder pattern of LiZnCd2Au2 was calculated for copper Kα.

Cell and atoms:
```
data_LiZnCd2Au2
_chemical_formula_sum 'Li2 Zn2 Cd4 Au4'
_cell_length_a 4.512
_cell_length_b 8.572
_cell_length_c 5.709
_cell_angle_alpha 90.00
_cell_angle_beta 90.00
_cell_angle_gamma 90.00
_space_group_name_H-M_alt 'P m c 21'
_space_group_IT_number 26
loop_
_space_group_symop_operation_xyz
'x,y,z'
'-x,-y,z+1/2'
'-x,y,z'
'x,-y,z+1/2'
loop_
_atom_site_label
_atom_site_fract_x
_atom_site_fract_y
_atom_site_fract_z
Li1 0.000 0.013 0.000
Zn1 0.500 0.174 0.726
Cd1 0.000 0.316 0.343
Cd2 0.500 0.473 0.079
Au1 0.000 0.322 0.832
Au2 0.500 0.127 0.241
```

Top 8 peaks for 2θ from 10° to 90°, by intensity:
| hkl | 2theta | d_spacing | I/Imax |
| --- | --- | --- | --- |
| 1 3 0 | 37.26 | 2.413 | 1000 |
| 1 1 2 | 38.78 | 2.322 | 394 |
| 2 0 0 | 39.96 | 2.256 | 361 |
| 1 2 0 | 28.73 | 3.108 | 235 |
| 1 1 0 | 22.26 | 3.993 | 222 |
| 0 0 2 | 31.34 | 2.854 | 192 |
| 1 1 1 | 27.26 | 3.272 | 189 |
| 0 2 2 | 37.87 | 2.376 | 177 |


No. 2
Starting from the GGA-PBE geometry in Alexandria, the X-ray powder pattern of Pr5Ge2C was calculated for copper Kα.

Cell and atoms:
```
data_Pr5Ge2C
_chemical_formula_sum 'Pr20 Ge8 C4'
_cell_length_a 5.856
_cell_length_b 12.742
_cell_length_c 13.463
_cell_angle_alpha 90.00
_cell_angle_beta 90.00
_cell_angle_gamma 90.00
_space_group_name_H-M_alt 'C m c m'
_space_group_IT_number 63
_space_group_name_Hall '-C 2c 2'
loop_
_atom_site_label
_atom_site_fract_x
_atom_site_fract_y
_atom_site_fract_z
Pr1 0.000 0.055 0.126
Pr2 0.000 0.299 0.750
Pr3 0.000 0.336 0.105
Ge1 0.000 0.175 0.566
C1 0.000 0.204 0.250
```

Top 8 peaks for 2θ from 10° to 90°, by intensity:
| hkl | 2theta | d_spacing | I/Imax |
| --- | --- | --- | --- |
| 1 3 0 | 25.95 | 3.434 | 1000 |
| 2 0 0 | 30.53 | 2.928 | 812 |
| 0 4 3 | 34.53 | 2.598 | 731 |
| 2 4 3 | 46.75 | 1.943 | 621 |
| 1 1 5 | 37.42 | 2.404 | 488 |
| 1 3 1 | 26.76 | 3.331 | 443 |
| 0 2 3 | 24.26 | 3.669 | 364 |
| 0 0 4 | 26.48 | 3.366 | 236 |


No. 3
Starting from the GGA-PBE geometry in Alexandria, the X-ray powder pattern of Tb6Ho7 was calculated for copper Kα.

Cell and atoms:
```
data_Tb6Ho7
_chemical_formula_sum 'Tb18 Ho21'
_cell_length_a 6.5121
_cell_length_b 6.5121
_cell_length_c 34.7825
_cell_angle_alpha 90.00
_cell_angle_beta 90.00
_cell_angle_gamma 120.00
_space_group_name_H-M_alt 'R -3 m'
_space_group_IT_number 166
_space_group_name_Hall '-R 3 2"'
loop_
_atom_site_label
_atom_site_fract_x
_atom_site_fract_y
_atom_site_fract_z
Tb1 0.0000 0.0000 0.0466
Tb2 0.0000 0.0000 0.1488
Tb3 0.0000 0.0000 0.3337
Ho1 0.0000 0.0000 0.5000
Ho2 0.0034 0.5017 0.9127
```

Top 8 peaks for 2θ from 10° to 90°, by intensity:
| hkl | 2theta | d_spacing | I/Imax |
| --- | --- | --- | --- |
| 1 1 6 | 31.51 | 2.839 | 1000 |
| 0 1 11 | 32.46 | 2.758 | 623 |
| 2 0 5 | 34.32 | 2.613 | 585 |
| 0 2 1 | 31.84 | 2.811 | 500 |
| 1 1 0 | 27.39 | 3.256 | 451 |
| 2 2 0 | 56.53 | 1.628 | 428 |
| 1 0 10 | 30.19 | 2.960 | 425 |
| 1 2 11 | 51.72 | 1.767 | 344 |


No. 4
Starting from the GGA-PBE geometry in Alexandria, the X-ray powder pattern of Ac8Co4S was calculated for copper Kα.

Cell and atoms:
```
data_Ac8Co4S
_chemical_formula_sum 'Ac16 Co8 S2'
_cell_length_a 20.875
_cell_length_b 4.249
_cell_length_c 14.290
_cell_angle_alpha 90.00
_cell_angle_beta 133.12
_cell_angle_gamma 90.00
_space_group_name_H-M_alt 'C 1 m 1'
_space_group_IT_number 8
loop_
_space_group_symop_operation_xyz
'x,y,z'
'x,-y,z'
'x+1/2,y+1/2,z'
'x+1/2,-y+1/2,z'
loop_
_atom_site_label
_atom_site_fract_x
_atom_site_fract_y
_atom_site_fract_z
Ac1 0.000 0.000 0.000
Ac2 0.007 0.000 0.726
Ac3 0.112 0.500 0.614
Ac4 0.193 0.500 0.042
Ac5 0.302 0.000 0.933
Ac6 0.312 0.000 0.670
Ac7 0.360 0.000 0.390
Ac8 0.451 0.500 0.261
Co1 0.007 0.500 0.855
Co2 0.300 0.500 0.793
Co3 0.310 0.000 0.146
Co4 0.491 0.500 0.511
S1 0.003 0.500 0.160
```

Top 8 peaks for 2θ from 10° to 90°, by intensity:
| hkl | 2theta | d_spacing | I/Imax |
| --- | --- | --- | --- |
| 3 1 -3 | 28.14 | 3.171 | 1000 |
| 3 1 0 | 27.37 | 3.259 | 934 |
| 6 0 -3 | 25.65 | 3.473 | 572 |
| 1 1 4 | 44.51 | 2.036 | 560 |
| 4 0 1 | 29.98 | 2.981 | 336 |
| 2 0 -4 | 27.57 | 3.235 | 325 |
| 0 2 0 | 42.55 | 2.125 | 282 |
| 5 1 -1 | 32.18 | 2.781 | 235 |


No. 5
Starting from the GGA-PBE geometry in Alexandria, the X-ray powder pattern of DyTmSnPt was calculated for copper Kα.

Cell and atoms:
```
data_DyTmSnPt
_chemical_formula_sum 'Dy4 Tm4 Sn4 Pt4'
_cell_length_a 7.233
_cell_length_b 7.233
_cell_length_c 7.233
_cell_angle_alpha 90.00
_cell_angle_beta 90.00
_cell_angle_gamma 90.00
_space_group_name_H-M_alt 'F -4 3 m'
_space_group_IT_number 216
_space_group_name_Hall 'F -4 2 3'
loop_
_atom_site_label
_atom_site_fract_x
_atom_site_fract_y
_atom_site_fract_z
Dy1 0.000 0.000 0.000
Tm1 0.000 0.000 0.500
Sn1 0.250 0.250 0.250
Pt1 0.250 0.250 0.750
```

Top 8 peaks for 2θ from 10° to 90°, by intensity:
| hkl | 2theta | d_spacing | I/Imax |
| --- | --- | --- | --- |
| 2 2 0 | 35.09 | 2.557 | 1000 |
| 4 2 2 | 62.95 | 1.476 | 375 |
| 4 0 0 | 50.47 | 1.808 | 181 |
| 6 2 0 | 84.76 | 1.144 | 169 |
| 4 4 0 | 74.16 | 1.279 | 117 |
| 1 1 1 | 21.28 | 4.176 | 28 |
| 3 1 1 | 41.40 | 2.181 | 15 |
| 3 3 1 | 55.37 | 1.659 | 6 |


No. 6
Starting from the GGA-PBE geometry in Alexandria, the X-ray powder pattern of TiTlI4 was calculated for copper Kα.

Cell and atoms:
```
data_TiTlI4
_chemical_formula_sum 'Ti2 Tl2 I8'
_cell_length_a 8.698
_cell_length_b 8.910
_cell_length_c 9.772
_cell_angle_alpha 90.00
_cell_angle_beta 90.00
_cell_angle_gamma 90.00
_space_group_name_H-M_alt 'P 2 2 2'
_space_group_IT_number 16
loop_
_space_group_symop_operation_xyz
'x,y,z'
'-x,-y,z'
'x,-y,-z'
'-x,y,-z'
loop_
_atom_site_label
_atom_site_fract_x
_atom_site_fract_y
_atom_site_fract_z
Ti1 0.000 0.000 0.000
Ti2 0.000 0.500 0.500
Tl1 0.000 0.000 0.500
Tl2 0.500 0.000 0.000
I1 0.190 0.322 0.634
I2 0.192 0.155 0.160
```

Top 8 peaks for 2θ from 10° to 90°, by intensity:
| hkl | 2theta | d_spacing | I/Imax |
| --- | --- | --- | --- |
| 1 1 2 | 23.14 | 3.843 | 1000 |
| 1 2 1 | 24.22 | 3.674 | 813 |
| 2 1 2 | 29.26 | 3.053 | 641 |
| 1 0 0 | 10.17 | 8.698 | 596 |
| 1 0 1 | 13.63 | 6.497 | 501 |
| 0 1 1 | 13.45 | 6.584 | 471 |
| 2 2 0 | 28.69 | 3.112 | 361 |
| 2 0 2 | 27.46 | 3.249 | 268 |


No. 7
Starting from the GGA-PBE geometry in Alexandria, the X-ray powder pattern of PaGe2Rh2 was calculated for copper Kα.

Cell and atoms:
```
data_PaGe2Rh2
_chemical_formula_sum 'Pa2 Ge4 Rh4'
_cell_length_a 4.178
_cell_length_b 4.178
_cell_length_c 10.161
_cell_angle_alpha 90.00
_cell_angle_beta 90.00
_cell_angle_gamma 90.00
_space_group_name_H-M_alt 'P 4/n m m'
_space_group_IT_number 129
loop_
_space_group_symop_operation_xyz
'x,y,z'
'-x,-y,-z'
'-y+1/2,x,z'
'y+1/2,-x,-z'
'-x+1/2,-y+1/2,z'
'x+1/2,y+1/2,-z'
'y,-x+1/2,z'
'-y,x+1/2,-z'
'x+1/2,-y,-z'
'-x+1/2,y,z'
'-y,-x,-z'
'y,x,z'
'-x,y+1/2,-z'
'x,-y+1/2,z'
'y+1/2,x+1/2,-z'
'-y+1/2,-x+1/2,z'
loop_
_atom_site_label
_atom_site_fract_x
_atom_site_fract_y
_atom_site_fract_z
Pa1 0.250 0.250 0.249
Ge1 0.250 0.250 0.866
Ge2 0.250 0.750 0.500
Rh1 0.250 0.250 0.630
Rh2 0.250 0.750 0.000
```

Top 8 peaks for 2θ from 10° to 90°, by intensity:
| hkl | 2theta | d_spacing | I/Imax |
| --- | --- | --- | --- |
| 1 1 2 | 35.14 | 2.554 | 1000 |
| 1 0 3 | 34.08 | 2.631 | 688 |
| 2 0 0 | 43.31 | 2.089 | 542 |
| 2 1 3 | 56.23 | 1.636 | 334 |
| 1 0 5 | 49.90 | 1.828 | 298 |
| 2 1 5 | 68.18 | 1.375 | 235 |
| 3 1 2 | 74.16 | 1.279 | 230 |
| 1 1 0 | 30.25 | 2.954 | 210 |


No. 8
Starting from the GGA-PBE geometry in Alexandria, the X-ray powder pattern of Ho7Co2Pb2 was calculated for copper Kα.

Cell and atoms:
```
data_Ho7Co2Pb2
_chemical_formula_sum 'Ho14 Co4 Pb4'
_cell_length_a 7.933
_cell_length_b 10.862
_cell_length_c 7.116
_cell_angle_alpha 90.00
_cell_angle_beta 90.00
_cell_angle_gamma 90.00
_space_group_name_H-M_alt 'C m m m'
_space_group_IT_number 65
_space_group_name_Hall '-C 2 2'
loop_
_atom_site_label
_atom_site_fract_x
_atom_site_fract_y
_atom_site_fract_z
Ho1 0.000 0.000 0.000
Ho2 0.000 0.500 0.220
Ho3 0.250 0.250 0.235
Co1 0.000 0.287 0.000
Pb1 0.191 0.000 0.500
```

Top 8 peaks for 2θ from 10° to 90°, by intensity:
| hkl | 2theta | d_spacing | I/Imax |
| --- | --- | --- | --- |
| 2 2 2 | 37.79 | 2.381 | 1000 |
| 0 4 0 | 32.99 | 2.715 | 665 |
| 1 3 2 | 37.20 | 2.417 | 496 |
| 1 1 2 | 28.70 | 3.110 | 494 |
| 2 2 0 | 27.85 | 3.203 | 412 |
| 0 2 2 | 30.03 | 2.976 | 409 |
| 2 0 1 | 25.71 | 3.465 | 333 |
| 2 2 1 | 30.61 | 2.921 | 276 |


No. 9
Starting from the GGA-PBE geometry in Alexandria, the X-ray powder pattern of CaIn2Br6 was calculated for copper Kα.

Cell and atoms:
```
data_CaIn2Br6
_chemical_formula_sum 'Ca3 In6 Br18'
_cell_length_a 7.4781
_cell_length_b 7.4781
_cell_length_c 23.7354
_cell_angle_alpha 90.00
_cell_angle_beta 90.00
_cell_angle_gamma 120.00
_space_group_name_H-M_alt 'R 3'
_space_group_IT_number 146
_space_group_name_Hall 'R 3'
loop_
_atom_site_label
_atom_site_fract_x
_atom_site_fract_y
_atom_site_fract_z
Ca1 0.0000 0.0000 0.0000
In1 0.0000 0.0000 0.2759
In2 0.0000 0.0000 0.3902
Br1 0.0292 0.3974 0.7556
Br2 0.0296 0.6332 0.5779
```

Top 8 peaks for 2θ from 10° to 90°, by intensity:
| hkl | 2theta | d_spacing | I/Imax |
| --- | --- | --- | --- |
| 2 -1 3 | 26.36 | 3.381 | 1000 |
| 1 0 1 | 14.18 | 6.248 | 639 |
| 2 -1 9 | 41.88 | 2.157 | 622 |
| 0 0 6 | 22.48 | 3.956 | 467 |
| 0 1 2 | 15.59 | 5.685 | 294 |
| 0 3 6 | 48.01 | 1.895 | 186 |
| 2 1 1 | 36.92 | 2.435 | 177 |
| 3 -2 2 | 37.52 | 2.397 | 161 |


No. 10
Starting from the GGA-PBE geometry in Alexandria, the X-ray powder pattern of Ce2TiSn8 was calculated for copper Kα.

Cell and atoms:
```
data_Ce2TiSn8
_chemical_formula_sum 'Ce2 Ti1 Sn8'
_cell_length_a 4.768
_cell_length_b 4.768
_cell_length_c 12.416
_cell_angle_alpha 90.00
_cell_angle_beta 90.00
_cell_angle_gamma 90.00
_space_group_name_H-M_alt 'P 4/m m m'
_space_group_IT_number 123
_space_group_name_Hall '-P 4 2'
loop_
_atom_site_label
_atom_site_fract_x
_atom_site_fract_y
_atom_site_fract_z
Ce1 0.000 0.000 0.191
Ti1 0.000 0.000 0.500
Sn1 0.000 0.500 0.000
Sn2 0.000 0.500 0.373
Sn3 0.500 0.500 0.184
```

Top 8 peaks for 2θ from 10° to 90°, by intensity:
| hkl | 2theta | d_spacing | I/Imax |
| --- | --- | --- | --- |
| 1 1 3 | 34.31 | 2.614 | 1000 |
| 2 0 0 | 37.74 | 2.384 | 515 |
| 1 1 2 | 30.16 | 2.963 | 338 |
| 3 1 3 | 65.94 | 1.417 | 310 |
| 2 0 5 | 53.27 | 1.720 | 232 |
| 2 2 0 | 54.43 | 1.686 | 181 |
| 1 1 8 | 66.30 | 1.410 | 175 |
| 0 0 5 | 36.17 | 2.483 | 172 |


No. 11
Starting from the GGA-PBE geometry in Alexandria, the X-ray powder pattern of MgPHO9 was calculated for copper Kα.

Cell and atoms:
```
data_MgPHO9
_chemical_formula_sum 'Mg1 P1 H1 O9'
_cell_length_a 5.333
_cell_length_b 5.378
_cell_length_c 6.877
_cell_angle_alpha 89.74
_cell_angle_beta 76.62
_cell_angle_gamma 71.49
_space_group_name_H-M_alt 'P 1'
_space_group_IT_number 1
loop_
_space_group_symop_operation_xyz
'x,y,z'
loop_
_atom_site_label
_atom_site_fract_x
_atom_site_fract_y
_atom_site_fract_z
Mg1 0.000 0.000 0.000
P1 0.465 0.426 0.899
H1 0.299 0.272 0.991
O1 0.035 0.143 0.333
O2 0.122 0.287 0.419
O3 0.307 0.706 0.001
O4 0.500 0.398 0.676
O5 0.639 0.680 0.301
O6 0.683 0.876 0.228
O7 0.730 0.314 0.973
O8 0.752 0.857 0.655
O9 0.951 0.797 0.731
```

Top 8 peaks for 2θ from 10° to 90°, by intensity:
| hkl | 2theta | d_spacing | I/Imax |
| --- | --- | --- | --- |
| 1 1 -1 | 26.29 | 3.390 | 1000 |
| 0 0 1 | 13.27 | 6.671 | 379 |
| 1 -1 0 | 29.11 | 3.067 | 370 |
| 1 1 2 | 31.40 | 2.849 | 269 |
| 1 1 1 | 22.88 | 3.887 | 220 |
| 1 1 0 | 20.67 | 4.298 | 218 |
| 0 1 2 | 33.20 | 2.698 | 140 |
| 0 0 3 | 40.57 | 2.224 | 136 |


No. 12
Starting from the GGA-PBE geometry in Alexandria, the X-ray powder pattern of DyU2Si2Pt7 was calculated for copper Kα.

Cell and atoms:
```
data_DyU2Si2Pt7
_chemical_formula_sum 'Dy2 U4 Si4 Pt14'
_cell_length_a 5.763
_cell_length_b 5.664
_cell_length_c 13.800
_cell_angle_alpha 90.00
_cell_angle_beta 98.44
_cell_angle_gamma 90.00
_space_group_name_H-M_alt 'C 1 2/m 1'
_space_group_IT_number 12
loop_
_space_group_symop_operation_xyz
'x,y,z'
'-x,-y,-z'
'-x,y,-z'
'x,-y,z'
'x+1/2,y+1/2,z'
'-x+1/2,-y+1/2,-z'
'-x+1/2,y+1/2,-z'
'x+1/2,-y+1/2,z'
loop_
_atom_site_label
_atom_site_fract_x
_atom_site_fract_y
_atom_site_fract_z
Dy1 0.000 0.000 0.000
U1 0.119 0.000 0.358
Si1 0.092 0.500 0.256
Pt1 0.000 0.500 0.000
Pt2 0.142 0.500 0.430
Pt3 0.191 0.250 0.838
```

Top 8 peaks for 2θ from 10° to 90°, by intensity:
| hkl | 2theta | d_spacing | I/Imax |
| --- | --- | --- | --- |
| 0 2 3 | 37.40 | 2.404 | 1000 |
| 2 2 -1 | 44.92 | 2.018 | 852 |
| 2 0 2 | 35.88 | 2.503 | 806 |
| 2 0 -3 | 34.60 | 2.593 | 621 |
| 0 2 1 | 32.26 | 2.775 | 506 |
| 0 2 2 | 34.28 | 2.616 | 379 |
| 0 0 5 | 32.81 | 2.730 | 315 |
| 1 1 4 | 36.26 | 2.478 | 301 |